Diffraction record for Sr11Bi10. The powder X-ray diffraction pattern is computed, not measured: it uses a structure optimized by DFT (GGA-PBE) and Cu Kα, 1.54184 Å.
No peak broadening, texture or thermal motion is included.

Cell lengths 13.0389, 13.0389, 13.0389 Å; angles 120.29, 120.29, 89.50 degrees
Atoms (fractional coordinates):
Sr  0.0595  0.3100  0.7494
Sr  0.1036  0.4430  0.3394
Sr  0.1036  0.7642  0.6606
Sr  0.1621  0.1621  0.0000
Sr  0.2358  0.8964  0.3394
Sr  0.3100  0.0595  0.7494
Sr  0.3100  0.5606  0.2506
Sr  0.3340  0.3340  0.6681
Sr  0.3340  0.6660  0.0000
Sr  0.4394  0.6900  0.7494
Sr  0.4430  0.1036  0.3394
Sr  0.5570  0.8964  0.6606
Sr  0.5606  0.3100  0.2506
Sr  0.6660  0.3340  0.0000
Sr  0.6660  0.6660  0.3319
Sr  0.6900  0.4394  0.7494
Sr  0.6900  0.9405  0.2506
Sr  0.7642  0.1036  0.6606
Sr  0.8379  0.8379  0.0000
Sr  0.8964  0.2358  0.3394
Sr  0.8964  0.5570  0.6606
Sr  0.9405  0.6900  0.2506
Bi  0.0328  0.0328  0.4123
Bi  0.0328  0.6205  0.0000
Bi  0.1260  0.1260  0.2520
Bi  0.1260  0.8740  0.0000
Bi  0.1505  0.5000  0.6505
Bi  0.2500  0.7500  0.5000
Bi  0.3744  0.3744  0.0000
Bi  0.3795  0.3795  0.4123
Bi  0.3795  0.9672  0.0000
Bi  0.5000  0.1505  0.6505
Bi  0.5000  0.8495  0.3495
Bi  0.6205  0.0328  0.0000
Bi  0.6205  0.6205  0.5877
Bi  0.6256  0.6256  0.0000
Bi  0.7500  0.2500  0.5000
Bi  0.8495  0.5000  0.3495
Bi  0.8740  0.1260  0.0000
Bi  0.8740  0.8740  0.7480
Bi  0.9672  0.3795  0.0000
Bi  0.9672  0.9672  0.5877

Main lines, in order of rising 2θ (5 to 70 degrees two-theta):
Position (°2θ)  I/Imax
21.1  694
28.6  338
28.7  715
28.9  299
29.1  1000
29.2  598
31.8  556
37.6  547
41.7  422
51.4  280

***

Diffraction record for Sr5Bi2. The powder X-ray diffraction pattern is computed, not measured: it uses a structure optimized by DFT (GGA-PBE) and Cu Kα, 1.54184 Å.
No peak broadening, texture or thermal motion is included.

Cell lengths 9.8566, 9.8566, 9.0051 Å; angles 96.25, 96.25, 44.94 degrees
Atoms (fractional coordinates):
Sr  0.1059  0.8941  0.7500
Sr  0.1445  0.2985  0.3157
Sr  0.2900  0.5272  0.0767
Sr  0.2985  0.1445  0.8157
Sr  0.4728  0.7100  0.4233
Sr  0.5272  0.2900  0.5767
Sr  0.7015  0.8555  0.1843
Sr  0.7100  0.4728  0.9233
Sr  0.8555  0.7015  0.6843
Sr  0.8941  0.1059  0.2500
Bi  0.0871  0.7015  0.4192
Bi  0.2985  0.9129  0.0808
Bi  0.7015  0.0871  0.9192
Bi  0.9129  0.2985  0.5808

Main lines, in order of rising 2θ (5 to 70 degrees two-theta):
Position (°2θ)  I/Imax
16.5  1000
20.5  484
27.1  425
27.9  575
28.8  358
29.7  702
30.1  450
31.8  429
32.1  730
33.8  346

***

Diffraction record for Sr5Bi3. The powder X-ray diffraction pattern is computed, not measured: it uses a structure optimized by DFT (GGA-PBE) and Cu Kα, 1.54184 Å.
No peak broadening, texture or thermal motion is included.

Cell lengths 9.7723, 9.7723, 7.5615 Å; angles 90.00, 90.00, 120.00 degrees
Atoms (fractional coordinates):
Sr  0.0000  0.2516  0.2500
Sr  0.0000  0.7484  0.7500
Sr  0.2516  0.0000  0.2500
Sr  0.2516  0.2516  0.7500
Sr  0.3333  0.6667  0.0000
Sr  0.3333  0.6667  0.5000
Sr  0.6667  0.3333  0.0000
Sr  0.6667  0.3333  0.5000
Sr  0.7484  0.0000  0.7500
Sr  0.7484  0.7484  0.2500
Bi  0.0000  0.3909  0.7500
Bi  0.0000  0.6091  0.2500
Bi  0.3909  0.0000  0.7500
Bi  0.3909  0.3909  0.2500
Bi  0.6091  0.0000  0.2500
Bi  0.6091  0.6091  0.7500

Main lines, in order of rising 2θ (5 to 70 degrees two-theta):
Position (°2θ)  I/Imax
10.5  201
21.7  486
23.5  422
29.9  842
30.3  1000
31.7  744
40.2  513
45.8  325
58.8  190
59.9  241

***

Diffraction record for Sr5Bi. The powder X-ray diffraction pattern is computed, not measured: it uses a structure optimized by DFT (GGA-PBE) and Cu Kα, 1.54184 Å.
No peak broadening, texture or thermal motion is included.

Cell lengths 9.2767, 9.2767, 5.8314 Å; angles 90.00, 90.00, 147.36 degrees
Atoms (fractional coordinates):
Sr  0.0000  0.0000  0.0000
Sr  0.1489  0.8511  0.5000
Sr  0.3335  0.6665  0.0000
Sr  0.6665  0.3335  0.0000
Sr  0.8511  0.1489  0.5000
Bi  0.5000  0.5000  0.5000

Main lines, in order of rising 2θ (5 to 70 degrees two-theta):
Position (°2θ)  I/Imax
9.9  135
27.4  1000
30.1  180
30.7  194
34.4  143
43.5  157
51.9  136
52.6  165
56.6  146
57.5  126

***

Diffraction record for Sr3Bi4. The powder X-ray diffraction pattern is computed, not measured: it uses a structure optimized by DFT (GGA-PBE) and Cu Kα, 1.54184 Å.
No peak broadening, texture or thermal motion is included.

Cell lengths 6.7211, 6.7211, 17.1594 Å; angles 90.00, 90.00, 138.38 degrees
Atoms (fractional coordinates):
Sr  0.0641  0.9359  0.5000
Sr  0.3324  0.6676  0.3467
Sr  0.3331  0.6669  0.6530
Sr  0.6669  0.3331  0.1530
Sr  0.6676  0.3324  0.8467
Sr  0.9359  0.0641  0.0000
Bi  0.9997  0.0003  0.2500
Bi  0.0003  0.9997  0.7500
Bi  0.2090  0.7910  0.9999
Bi  0.3776  0.6224  0.1434
Bi  0.3782  0.6218  0.8564
Bi  0.6218  0.3782  0.3564
Bi  0.6224  0.3776  0.6434
Bi  0.7910  0.2090  0.4999

Main lines, in order of rising 2θ (5 to 70 degrees two-theta):
Position (°2θ)  I/Imax
17.5  269
20.6  273
28.3  316
28.9  1000
30.2  334
32.5  375
35.4  403
37.7  284
52.7  205
61.6  145

***

Diffraction record for Sr5ThBi5. The powder X-ray diffraction pattern is computed, not measured: it uses a structure optimized by DFT (GGA-PBE) and Cu Kα, 1.54184 Å.
No peak broadening, texture or thermal motion is included.

Cell lengths 8.5261, 8.5261, 9.4482 Å; angles 106.56, 106.56, 46.15 degrees
Atoms (fractional coordinates):
Sr  0.0000  0.0000  0.0000
Sr  0.3152  0.3152  0.1760
Sr  0.3221  0.3221  0.6453
Sr  0.6779  0.6779  0.3547
Sr  0.6848  0.6848  0.8240
Th  0.0000  0.0000  0.5000
Bi  0.1497  0.1497  0.3295
Bi  0.1586  0.1586  0.8246
Bi  0.5000  0.5000  0.5000
Bi  0.8414  0.8414  0.1754
Bi  0.8503  0.8503  0.6705

Main lines, in order of rising 2θ (5 to 70 degrees two-theta):
Position (°2θ)  I/Imax
9.8  447
14.5  488
25.9  996
26.1  1000
26.7  974
36.1  375
37.5  751
37.7  761
45.5  389
47.1  408

***

What did the fifth record say?
Diffraction record for Sr3Bi4. The powder X-ray diffraction pattern is computed, not measured: it uses a structure optimized by DFT (GGA-PBE) and Cu Kα, 1.54184 Å.
No peak broadening, texture or thermal motion is included.

Cell lengths 6.7211, 6.7211, 17.1594 Å; angles 90.00, 90.00, 138.38 degrees
Atoms (fractional coordinates):
Sr  0.0641  0.9359  0.5000
Sr  0.3324  0.6676  0.3467
Sr  0.3331  0.6669  0.6530
Sr  0.6669  0.3331  0.1530
Sr  0.6676  0.3324  0.8467
Sr  0.9359  0.0641  0.0000
Bi  0.9997  0.0003  0.2500
Bi  0.0003  0.9997  0.7500
Bi  0.2090  0.7910  0.9999
Bi  0.3776  0.6224  0.1434
Bi  0.3782  0.6218  0.8564
Bi  0.6218  0.3782  0.3564
Bi  0.6224  0.3776  0.6434
Bi  0.7910  0.2090  0.4999

Main lines, in order of rising 2θ (5 to 70 degrees two-theta):
Position (°2θ)  I/Imax
17.5  269
20.6  273
28.3  316
28.9  1000
30.2  334
32.5  375
35.4  403
37.7  284
52.7  205
61.6  145